Diffraction record for LiSbPO5. The X-ray powder pattern is calculated, not measured: it uses the PBE geometry in Alexandria and Cu Kα (weighted mean of Kα1 and Kα2).

Structure:
```
LiSbPO5
1.0
3.6648 -4.1828 0.0000
3.6648 4.1828 0.0000
-3.2256 0.0000 6.7827
Li Sb P O
2 2 2 10
Direct
0.1967 0.8033 0.5000
0.8033 0.1967 0.0000
0.3871 0.3915 0.1403
0.3915 0.3871 0.6403
0.0266 0.7212 0.8775
0.7212 0.0266 0.3775
0.0021 0.0791 0.5167
0.0552 0.5285 0.9948
0.0791 0.0021 0.0167
0.2131 0.7002 0.7544
0.2921 0.4742 0.3888
0.4742 0.2921 0.8888
0.5285 0.0552 0.4948
0.6527 0.7459 0.2323
0.7002 0.2131 0.2544
0.7459 0.6527 0.7323
```

Principal peaks in the range 2θ = 10–90°, low angle first:
2θ/deg	intensity
17.1	100.0
21.2	34.5
26.1	82.6
26.9	47.4
34.0	31.4
34.9	30.1
39.5	23.4
42.4	20.7
51.0	14.4
52.6	13.1
52.9	13.1
60.1	14.0

Diffraction record for La3TbAl8. The X-ray powder pattern is calculated, not measured: it uses the PBE geometry in Alexandria and Cu Kα (weighted mean of Kα1 and Kα2).

Structure:
```
La3TbAl8
1.0
2.8528 1.6471 9.3376
-2.8528 1.6471 9.3376
0.0000 -3.2942 9.3376
La Tb Al
3 1 8
Direct
0.0000 0.0000 0.0000
0.1249 0.1249 0.1249
0.6261 0.6261 0.6261
0.5004 0.5004 0.5004
0.0620 0.0620 0.5604
0.0620 0.5604 0.0620
0.0654 0.5637 0.5637
0.3124 0.3124 0.3124
0.5604 0.0620 0.0620
0.5637 0.0654 0.5637
0.5637 0.5637 0.0654
0.8132 0.8132 0.8132
```

Principal peaks in the range 2θ = 10–90°, low angle first:
2θ/deg	intensity
19.0	56.5
31.3	96.5
36.9	100.0
49.2	14.9
55.8	28.2
55.8	9.4
59.5	20.5
59.5	12.5
65.3	10.9
65.4	10.9
74.3	16.0
77.6	8.4

Diffraction record for InAg6. The X-ray powder pattern is calculated, not measured: it uses the PBE geometry in Alexandria and Cu Kα (weighted mean of Kα1 and Kα2).

Structure:
```
InAg6
1.0
6.2147 3.5881 0.9816
-6.2147 3.5881 0.9816
0.0000 -7.1762 0.9816
In Ag
1 6
Direct
0.0000 0.0000 0.0000
0.1562 0.5895 0.2978
0.2978 0.1562 0.5895
0.4105 0.7022 0.8438
0.5895 0.2978 0.1562
0.7022 0.8438 0.4105
0.8438 0.4105 0.7022
```

Principal peaks in the range 2θ = 10–90°, low angle first:
2θ/deg	intensity
37.7	100.0
38.3	95.8
43.1	0.6
54.9	31.9
67.7	16.2
68.9	31.1
69.3	15.4
80.5	10.0
82.1	9.6

Question: Number 1 is which compound?
Answer: LiSbPO5

Please write out number 3 again, unchanged.
Diffraction record for InAg6. The X-ray powder pattern is calculated, not measured: it uses the PBE geometry in Alexandria and Cu Kα (weighted mean of Kα1 and Kα2).

Structure:
```
InAg6
1.0
6.2147 3.5881 0.9816
-6.2147 3.5881 0.9816
0.0000 -7.1762 0.9816
In Ag
1 6
Direct
0.0000 0.0000 0.0000
0.1562 0.5895 0.2978
0.2978 0.1562 0.5895
0.4105 0.7022 0.8438
0.5895 0.2978 0.1562
0.7022 0.8438 0.4105
0.8438 0.4105 0.7022
```

Principal peaks in the range 2θ = 10–90°, low angle first:
2θ/deg	intensity
37.7	100.0
38.3	95.8
43.1	0.6
54.9	31.9
67.7	16.2
68.9	31.1
69.3	15.4
80.5	10.0
82.1	9.6